1.
# LiMn4In
Calculated X-ray powder pattern, Cu Kα (weighted mean of Kα1 and Kα2). Input: DFT lattice parameters and positions (PBE).
Neutral-atom scattering factors, no anomalous dispersion.

The 8 most intense peaks (5 to 70 degrees two-theta), by angle:
| d_spacing | 2theta | Rel. int. | hkl |
| --- | --- | --- | --- |
| 3.917 | 22.70 | 30 | 1 1 1 |
| 3.392 | 26.27 | 30 | 2 0 0 |
| 2.399 | 37.50 | 27 | 2 2 0 |
| 2.045 | 44.28 | 100 | 3 1 1 |
| 1.958 | 46.36 | 39 | 2 2 2 |
| 1.556 | 59.38 | 6 | 3 3 1 |
| 1.517 | 61.09 | 10 | 4 2 0 |
| 1.385 | 67.66 | 9 | 4 2 2 |

Atomic structure:
abc: 6.784 6.784 6.784
angles: 90.00 90.00 90.00
Space group F-43m (No. 216)
Inequivalent atoms, fractional coordinates:
Li: 0.000 0.000 0.000 [4 per cell]
Mn: 0.126 0.126 0.626 [16 per cell]
In: 0.250 0.250 0.250 [4 per cell]


2.
# Mn2Hg
Calculated X-ray powder pattern, Cu Kα (weighted mean of Kα1 and Kα2). Input: DFT lattice parameters and positions (PBE).
Neutral-atom scattering factors, no anomalous dispersion.

The 8 most intense peaks (5 to 70 degrees two-theta), by angle:
| d_spacing | 2theta | Rel. int. | hkl |
| --- | --- | --- | --- |
| 4.693 | 18.91 | 28 | 0 0 3 |
| 4.175 | 21.28 | 16 | 1 0 1 |
| 3.714 | 23.96 | 12 | 0 1 2 |
| 2.524 | 35.57 | 37 | 1 1 0 |
| 2.346 | 38.36 | 24 | 0 0 6 |
| 2.223 | 40.59 | 100 | 1 1 3 |
| 1.719 | 53.31 | 23 | 1 1 6 |
| 1.457 | 63.88 | 16 | 3 0 0 |

Atomic structure:
abc: 5.0479 5.0479 14.0786
angles: 90.00 90.00 120.00
Space group R32 (No. 155, hexagonal axes)
Inequivalent atoms, fractional coordinates:
Mn: 0.0000 0.0000 0.0000 [3 per cell]
Mn: 0.0000 0.3359 0.5000 [9 per cell]
Hg: 0.0000 0.0000 0.3338 [6 per cell]


- What is the formula in the first record?
  LiMn4In